Entry 1:
Starting from a cell relaxed with GGA-PBE, the powder XRD pattern of Sr2GdMgRuO6 was simulated for Cu Ka.
Kinematic intensities with the Lorentz-polarization factor, no thermal factor.

Structure:
```
Sr2GdMgRuO6
1.0
5.749 0.000 0.000
2.864 5.050 0.000
2.817 1.601 5.475
Sr Gd Mg Ru O
2 1 1 1 6
Direct
0.000 0.000 0.000
0.452 0.462 0.619
0.257 0.262 0.210
0.643 0.651 0.101
0.779 0.796 0.617
0.008 0.460 0.896
0.154 0.883 0.373
0.467 0.633 0.898
0.570 0.143 0.388
0.627 0.021 0.893
0.860 0.593 0.345
```

Most intense lines, 2θ = 10–90°, in order of rising 2θ:
- 4.271 Å, 2θ 20.80, I 298
- 3.210 Å, 2θ 27.80, I 301
- 3.176 Å, 2θ 28.10, I 325
- 3.147 Å, 2θ 28.36, I 306
- 2.905 Å, 2θ 30.78, I 1000
- 2.875 Å, 2θ 31.11, I 452
- 2.742 Å, 2θ 32.66, I 228
- 1.973 Å, 2θ 46.00, I 282

---

Entry 2:
Starting from a cell relaxed with GGA-PBE, the powder XRD pattern of Sn4As3 was simulated for Cu Ka.
Kinematic intensities with the Lorentz-polarization factor, no thermal factor.

Structure:
```
Sn4As3
1.0
2.079 1.200 12.207
-2.079 1.200 12.207
0.000 -2.401 12.207
Sn As
4 3
Direct
0.135 0.135 0.135
0.289 0.289 0.289
0.711 0.711 0.711
0.865 0.865 0.865
0.000 0.000 0.000
0.430 0.430 0.430
0.570 0.570 0.570
```

Most intense lines, 2θ = 10–90°, in order of rising 2θ:
- 2.966 Å, 2θ 30.13, I 1000
- 2.116 Å, 2θ 42.73, I 334
- 2.079 Å, 2θ 43.53, I 389
- 1.702 Å, 2θ 53.85, I 199
- 1.483 Å, 2θ 62.64, I 109
- 1.336 Å, 2θ 70.48, I 119
- 1.317 Å, 2θ 71.65, I 192
- 1.207 Å, 2θ 79.36, I 115

---

Entry 3:
Starting from a cell relaxed with GGA-PBE, the powder XRD pattern of CrCdTe2 was simulated for Cu Ka.
Kinematic intensities with the Lorentz-polarization factor, no thermal factor.

Structure:
```
CrCdTe2
1.0
4.523 0.000 0.000
0.000 4.523 0.000
0.000 0.000 6.507
Cr Cd Te
1 1 2
Direct
0.000 0.000 0.000
0.500 0.500 0.500
0.000 0.500 0.770
0.500 0.000 0.230
```

Most intense lines, 2θ = 10–90°, in order of rising 2θ:
- 3.714 Å, 2θ 23.96, I 1000
- 2.281 Å, 2θ 39.51, I 495
- 2.262 Å, 2θ 39.86, I 251
- 1.956 Å, 2θ 46.43, I 150
- 1.932 Å, 2θ 47.04, I 317
- 1.599 Å, 2θ 57.64, I 82
- 1.479 Å, 2θ 62.82, I 118
- 1.309 Å, 2θ 72.14, I 158